Structure and calculated powder diffraction line list of Li3B8C8 (a structure optimized by DFT (PBE); a wavelength of 1.5418 Å).
Neutral-atom scattering factors, no anomalous dispersion.

Structure:
Lattice parameters (Å, degrees): 4.6833 5.3846 7.3766 90.00 90.45 90.00
Positions (direct):
Li: 0.0000 0.0000 0.0000
Li: 0.0000 0.4848 0.5000
Li: 0.5000 0.7042 0.0000
B: 0.1626 0.7239 0.7590
B: 0.1655 0.2244 0.7525
B: 0.3373 0.4720 0.2517
B: 0.3377 0.9748 0.2502
B: 0.6623 0.9748 0.7498
B: 0.6627 0.4720 0.7483
B: 0.8345 0.2244 0.2475
B: 0.8374 0.7239 0.2410
C: 0.1671 0.2292 0.2533
C: 0.1705 0.7295 0.2453
C: 0.3307 0.4802 0.7522
C: 0.3306 0.9794 0.7642
C: 0.6693 0.4802 0.2478
C: 0.6694 0.9794 0.2358
C: 0.8295 0.7295 0.7547
C: 0.8329 0.2292 0.7467

Most intense lines, 15° ≤ 2θ ≤ 90°, by angle:
| 2θ/deg | I/Imax |
| --- | --- |
| 24.1 | 100 |
| 38.6 | 8 |
| 45.9 | 9 |
| 46.1 | 14 |
| 49.4 | 11 |
| 69.6 | 7 |

=====

Structure and calculated powder diffraction line list of MnZnCu2 (a structure optimized by DFT (PBE); a wavelength of 1.5418 Å).
Neutral-atom scattering factors, no anomalous dispersion.

Structure:
Lattice parameters (Å, degrees): 4.4516 4.4516 4.4516 128.98 128.98 75.05
Positions (direct):
Mn: 0.0000 0.0000 0.0000
Zn: 0.7500 0.2500 0.5000
Cu: 0.2500 0.7500 0.5000
Cu: 0.5000 0.5000 0.0000

Most intense lines, 15° ≤ 2θ ≤ 90°, by angle:
| 2θ/deg | I/Imax |
| --- | --- |
| 42.0 | 100 |
| 47.4 | 35 |
| 51.8 | 13 |
| 69.3 | 10 |
| 72.8 | 17 |
| 84.5 | 23 |

=====

What did the second record say?
Structure and calculated powder diffraction line list of MnZnCu2 (a structure optimized by DFT (PBE); a wavelength of 1.5418 Å).
Neutral-atom scattering factors, no anomalous dispersion.

Structure:
Lattice parameters (Å, degrees): 4.4516 4.4516 4.4516 128.98 128.98 75.05
Positions (direct):
Mn: 0.0000 0.0000 0.0000
Zn: 0.7500 0.2500 0.5000
Cu: 0.2500 0.7500 0.5000
Cu: 0.5000 0.5000 0.0000

Most intense lines, 15° ≤ 2θ ≤ 90°, by angle:
| 2θ/deg | I/Imax |
| --- | --- |
| 42.0 | 100 |
| 47.4 | 35 |
| 51.8 | 13 |
| 69.3 | 10 |
| 72.8 | 17 |
| 84.5 | 23 |

=====

Q: Which formula does entry 1 have?
A: Li3B8C8